(1)
Computed X-ray diffraction stick pattern
Compound: NaPmS2
Radiation: a wavelength of 1.5418 Å
Structure: a DFT-relaxed cell (PBE, OQMD)
Kinematic intensities with the Lorentz-polarization factor, no thermal factor.

Peak list (10 most intense, 10° ≤ 2θ ≤ 90°, by intensity)
- 17.32 deg, intensity 100
- 31.56 deg, intensity 80
- 44.12 deg, intensity 59
- 26.81 deg, intensity 46
- 30.03 deg, intensity 44
- 36.22 deg, intensity 32
- 55.25 deg, intensity 30
- 45.23 deg, intensity 28
- 27.44 deg, intensity 22
- 82.74 deg, intensity 18

Atomic structure:
```
NaPmS2
1.0
-2.835 2.835 5.950
2.835 -2.835 5.950
2.835 2.835 -5.950
Na Pm S
2 2 4
Direct
0.375 0.625 0.750
0.625 0.375 0.250
0.125 0.875 0.250
0.875 0.125 0.750
0.111 0.361 0.750
0.361 0.111 0.250
0.639 0.889 0.750
0.889 0.639 0.250
```

---

(2)
Computed X-ray diffraction stick pattern
Compound: Pb3W5Cl
Radiation: a wavelength of 1.5418 Å
Structure: a DFT-relaxed cell (PBE, OQMD)
Kinematic intensities with the Lorentz-polarization factor, no thermal factor.

Peak list (10 most intense, 10° ≤ 2θ ≤ 90°, by intensity)
- 36.11 deg, intensity 100
- 32.55 deg, intensity 47
- 37.58 deg, intensity 36
- 41.02 deg, intensity 36
- 56.84 deg, intensity 28
- 66.87 deg, intensity 17
- 50.76 deg, intensity 17
- 77.78 deg, intensity 13
- 45.36 deg, intensity 12
- 76.62 deg, intensity 11

Atomic structure:
```
Pb3W5Cl
1.0
6.723 0.000 0.000
-3.361 5.822 0.000
0.000 0.000 4.787
Pb W Cl
3 5 1
Direct
0.000 0.523 0.000
0.477 0.477 0.000
0.523 0.000 0.000
0.000 0.247 0.500
0.247 0.000 0.500
0.333 0.667 0.500
0.667 0.333 0.500
0.753 0.753 0.500
0.000 0.000 0.000
```

---

(3)
Computed X-ray diffraction stick pattern
Compound: Na4Ge2Au7
Radiation: a wavelength of 1.5418 Å
Structure: a DFT-relaxed cell (PBE, OQMD)
Kinematic intensities with the Lorentz-polarization factor, no thermal factor.

Peak list (10 most intense, 10° ≤ 2θ ≤ 90°, by intensity)
- 17.20 deg, intensity 100
- 34.80 deg, intensity 75
- 18.91 deg, intensity 49
- 32.95 deg, intensity 33
- 33.92 deg, intensity 31
- 41.48 deg, intensity 31
- 57.63 deg, intensity 18
- 16.31 deg, intensity 18
- 45.96 deg, intensity 18
- 43.70 deg, intensity 16

Atomic structure:
```
Na4Ge2Au7
1.0
3.199 1.847 9.385
-3.199 1.847 9.385
0.000 -3.694 9.385
Na Ge Au
4 2 7
Direct
0.181 0.181 0.181
0.313 0.313 0.313
0.687 0.687 0.687
0.819 0.819 0.819
0.043 0.043 0.043
0.957 0.957 0.957
0.275 0.275 0.710
0.275 0.710 0.275
0.290 0.725 0.725
0.500 0.500 0.500
0.710 0.275 0.275
0.725 0.290 0.725
0.725 0.725 0.290
```

---

- What is the formula in the second record?
  Pb3W5Cl